No. 1
InTeC: theoretical X-ray diffraction stick pattern (Cu Kα X-rays), based on the GGA-PBE geometry in Alexandria.
No peak broadening, texture or thermal motion is included.

Top 10 peaks for 2θ from 15° to 90°, sorted by position:
d_spacing, 2theta, I_rel
3.969, 22.4, 52.1
3.940, 22.6, 53.9
3.552, 25.1, 100.0
2.747, 32.6, 62.0
2.718, 32.9, 59.0
2.673, 33.5, 32.5
2.628, 34.1, 30.2
2.616, 34.3, 31.6
2.208, 40.9, 30.4
2.129, 42.5, 43.7

Crystal structure
Cell: 4.2566 5.7385 7.1101 Å, 87.68 89.96 68.85°
Sites, in units of the cell vectors:
In (0.0000, 0.0000, 0.0000)
In (0.2795, 0.4532, 0.4097)
Te (0.3110, 0.3970, 0.0083)
Te (0.9806, 0.0574, 0.5482)
C (0.4746, 0.7589, 0.4770)
C (0.7816, 0.7581, 0.4763)



No. 2
Th4In2C: theoretical X-ray diffraction stick pattern (Cu Kα X-rays), based on the GGA-PBE geometry in Alexandria.
No peak broadening, texture or thermal motion is included.

Top 10 peaks for 2θ from 15° to 90°, sorted by position:
d_spacing, 2theta, I_rel
3.171, 28.1, 51.9
3.098, 28.8, 91.3
3.048, 29.3, 55.0
2.965, 30.1, 100.0
2.722, 32.9, 50.9
2.706, 33.1, 70.2
2.639, 34.0, 25.7
2.441, 36.8, 27.5
1.965, 46.2, 28.5
1.828, 49.9, 28.6

Crystal structure
Cell: 6.5452 6.7754 9.6591 Å, 90.00 108.81 90.00°
Sites, in units of the cell vectors:
Th (0.1898, 0.2500, 0.0498)
Th (0.2571, 0.5158, 0.7091)
Th (0.2571, 0.9842, 0.7091)
Th (0.2658, 0.7500, 0.3425)
Th (0.7342, 0.2500, 0.6575)
Th (0.7429, 0.0158, 0.2909)
Th (0.7429, 0.4842, 0.2909)
Th (0.8102, 0.7500, 0.9502)
In (0.2456, 0.2500, 0.4046)
In (0.3440, 0.7500, 0.0298)
In (0.6560, 0.2500, 0.9702)
In (0.7544, 0.7500, 0.5954)
C (0.1027, 0.2500, 0.7959)
C (0.8973, 0.7500, 0.2041)



No. 3
Th6In3C: theoretical X-ray diffraction stick pattern (Cu Kα X-rays), based on the GGA-PBE geometry in Alexandria.
No peak broadening, texture or thermal motion is included.

Top 10 peaks for 2θ from 15° to 90°, sorted by position:
d_spacing, 2theta, I_rel
3.343, 26.7, 100.0
3.202, 27.9, 51.3
3.032, 29.5, 40.5
3.022, 29.6, 54.0
2.903, 30.8, 49.3
2.846, 31.4, 62.6
2.819, 31.7, 39.3
2.716, 33.0, 34.5
2.636, 34.0, 28.8
2.570, 34.9, 45.7

Crystal structure
Cell: 6.4753 8.6286 11.9301 Å, 90.00 117.90 90.00°
Sites, in units of the cell vectors:
Th (0.0801, 0.0603, 0.2260)
Th (0.0801, 0.4397, 0.7260)
Th (0.1655, 0.7295, 0.0570)
Th (0.1655, 0.7705, 0.5570)
Th (0.3876, 0.1439, 0.0438)
Th (0.3876, 0.3561, 0.5438)
Th (0.6124, 0.6439, 0.4562)
Th (0.6124, 0.8561, 0.9562)
Th (0.8345, 0.2295, 0.4430)
Th (0.8345, 0.2705, 0.9430)
Th (0.9199, 0.5603, 0.2740)
Th (0.9199, 0.9397, 0.7740)
In (0.3365, 0.1014, 0.7302)
In (0.3365, 0.3986, 0.2302)
In (0.5000, 0.0000, 0.5000)
In (0.5000, 0.5000, 0.0000)
In (0.6635, 0.6014, 0.7698)
In (0.6635, 0.8986, 0.2698)
C (0.0000, 0.0000, 0.0000)
C (0.0000, 0.5000, 0.5000)



No. 4
Ti7InC2: theoretical X-ray diffraction stick pattern (Cu Kα X-rays), based on the GGA-PBE geometry in Alexandria.
No peak broadening, texture or thermal motion is included.

Top 10 peaks for 2θ from 15° to 90°, sorted by position:
d_spacing, 2theta, I_rel
5.845, 15.2, 39.7
3.402, 26.2, 45.6
2.656, 33.7, 78.7
2.571, 34.9, 100.0
2.313, 38.9, 57.0
2.159, 41.8, 71.3
2.092, 43.2, 46.8
1.978, 45.9, 45.2
1.502, 61.7, 40.8
1.245, 76.5, 27.8

Crystal structure
Cell: 6.5288 6.5288 4.1838 Å, 90.00 90.00 116.46°
Sites, in units of the cell vectors:
Ti (0.0000, 0.0000, 0.0000)
Ti (0.1626, 0.4360, 0.0000)
Ti (0.2194, 0.7806, 0.5000)
Ti (0.4360, 0.1626, 0.0000)
Ti (0.5640, 0.8374, 0.0000)
Ti (0.7806, 0.2194, 0.5000)
Ti (0.8374, 0.5640, 0.0000)
In (0.5000, 0.5000, 0.5000)
C (0.2034, 0.7966, 0.0000)
C (0.7966, 0.2034, 0.0000)



No. 5
TiInC2: theoretical X-ray diffraction stick pattern (Cu Kα X-rays), based on the GGA-PBE geometry in Alexandria.
No peak broadening, texture or thermal motion is included.

Top 10 peaks for 2θ from 15° to 90°, sorted by position:
d_spacing, 2theta, I_rel
4.489, 19.8, 23.3
2.838, 31.5, 100.0
2.592, 34.6, 36.7
2.243, 40.2, 19.5
1.833, 49.7, 20.3
1.696, 54.1, 28.6
1.540, 60.1, 28.8
1.419, 65.8, 12.7
1.384, 67.7, 9.9
1.104, 88.5, 9.6

Crystal structure
Cell: 5.7914 5.7914 5.7914 Å, 126.81 126.81 78.57°
Sites, in units of the cell vectors:
Ti (0.0000, 0.0000, 0.0000)
Ti (0.7500, 0.2500, 0.5000)
In (0.2500, 0.7500, 0.5000)
In (0.5000, 0.5000, 0.0000)
C (0.0906, 0.6250, 0.9656)
C (0.3750, 0.3406, 0.4656)
C (0.6594, 0.1250, 0.0344)
C (0.8750, 0.9094, 0.5344)



No. 6
Ti7In2C2: theoretical X-ray diffraction stick pattern (Cu Kα X-rays), based on the GGA-PBE geometry in Alexandria.
No peak broadening, texture or thermal motion is included.

Top 10 peaks for 2θ from 15° to 90°, sorted by position:
d_spacing, 2theta, I_rel
5.170, 17.2, 77.5
4.656, 19.1, 35.2
3.933, 22.6, 78.6
2.777, 32.2, 38.4
2.623, 34.2, 42.1
2.528, 35.5, 62.4
2.442, 36.8, 61.2
2.327, 38.7, 100.0
2.307, 39.0, 78.2
2.285, 39.4, 51.8

Crystal structure
Cell: 5.6290 5.6290 7.4551 Å, 96.01 96.01 111.62°
Sites, in units of the cell vectors:
Ti (0.0000, 0.0000, 0.0000)
Ti (0.0865, 0.5135, 0.8385)
Ti (0.4062, 0.4062, 0.1645)
Ti (0.4865, 0.9135, 0.1615)
Ti (0.5135, 0.0865, 0.8385)
Ti (0.5938, 0.5938, 0.8355)
Ti (0.9135, 0.4865, 0.1615)
In (0.3171, 0.6829, 0.5000)
In (0.6829, 0.3171, 0.5000)
C (0.2773, 0.2773, 0.8813)
C (0.7227, 0.7227, 0.1187)



No. 7
Tm4InC2: theoretical X-ray diffraction stick pattern (Cu Kα X-rays), based on the GGA-PBE geometry in Alexandria.
No peak broadening, texture or thermal motion is included.

Top 10 peaks for 2θ from 15° to 90°, sorted by position:
d_spacing, 2theta, I_rel
3.063, 29.2, 27.5
2.887, 31.0, 27.7
2.819, 31.7, 35.2
2.738, 32.7, 100.0
2.655, 33.8, 79.5
2.233, 40.4, 31.1
1.773, 51.5, 43.9
1.741, 52.6, 18.3
1.501, 61.8, 31.9
1.488, 62.4, 15.3

Crystal structure
Cell: 14.2417 14.2417 14.2417 Å, 14.30 14.30 14.30°
Sites, in units of the cell vectors:
Tm (0.1247, 0.1247, 0.1247)
Tm (0.2711, 0.2711, 0.2711)
Tm (0.7289, 0.7289, 0.7289)
Tm (0.8753, 0.8753, 0.8753)
In (0.0000, 0.0000, 0.0000)
C (0.4282, 0.4282, 0.4282)
C (0.5718, 0.5718, 0.5718)



No. 8
Y9In3C2: theoretical X-ray diffraction stick pattern (Cu Kα X-rays), based on the GGA-PBE geometry in Alexandria.
No peak broadening, texture or thermal motion is included.

Top 10 peaks for 2θ from 15° to 90°, sorted by position:
d_spacing, 2theta, I_rel
3.479, 25.6, 2.0
2.841, 31.5, 100.0
2.460, 36.5, 53.7
2.009, 45.1, 0.9
1.739, 52.6, 36.2
1.483, 62.6, 39.6
1.420, 65.7, 12.0
1.230, 77.6, 5.5
1.129, 86.2, 16.1
1.100, 89.0, 15.9

Crystal structure
Cell: 6.9566 6.9566 8.5248 Å, 90.00 90.00 120.00°
Sites, in units of the cell vectors:
Y (0.0000, 0.5000, 0.0000)
Y (0.1702, 0.3404, 0.6709)
Y (0.1702, 0.8298, 0.6709)
Y (0.3404, 0.1702, 0.3291)
Y (0.5000, 0.0000, 0.0000)
Y (0.5000, 0.5000, 0.0000)
Y (0.6596, 0.8298, 0.6709)
Y (0.8298, 0.1702, 0.3291)
Y (0.8298, 0.6596, 0.3291)
In (0.0000, 0.0000, 0.0000)
In (0.3333, 0.6667, 0.3333)
In (0.6667, 0.3333, 0.6667)
C (0.3333, 0.6667, 0.8279)
C (0.6667, 0.3333, 0.1721)